Structure and calculated powder X-ray diffraction pattern of LiNi2P2O8 (a crystal structure in the Materials Project, relaxed with PBE+U; Cu Kα).
Intensities are scaled so that the largest is 100.

Principal peaks in the range 10° ≤ 2θ ≤ 80°, low angle first:
- 2θ = 21.3°, intensity 9.5
- 2θ = 21.7°, intensity 100.0
- 2θ = 22.3°, intensity 14.6
- 2θ = 27.4°, intensity 14.7
- 2θ = 28.0°, intensity 31.0
- 2θ = 31.1°, intensity 10.2
- 2θ = 35.5°, intensity 16.8
- 2θ = 37.4°, intensity 10.0
- 2θ = 38.3°, intensity 8.0
- 2θ = 45.6°, intensity 7.7

Crystal structure
```
52
Lattice="8.4375 0.0000 0.0000 0.0000 5.0532 0.0000 -2.6941 0.0000 16.3828" Properties=species:S:1:pos:R:3 pbc="T T T"
Li 0.0000 0.8442 0.0000
Li -1.3471 4.2090 8.1914
Li 1.3490 1.6657 12.1644
Li 2.6961 3.3875 3.9730
Ni 1.2137 1.5553 6.1594
Ni -0.1334 3.4978 14.3508
Ni 2.7271 0.8916 1.9823
Ni 1.3800 4.1616 10.1737
Ni 4.0101 1.6741 14.2496
Ni 5.3572 3.3791 6.0582
Ni 5.5551 0.9647 10.3249
Ni 6.9021 4.0885 2.1335
P -1.5598 0.9761 13.3042
P -0.2127 4.0771 5.1128
P -0.0113 1.6067 9.2025
P 1.3357 3.4465 1.0111
P 3.9774 0.9104 5.0159
P 2.6303 4.1428 13.2074
P 5.5884 1.5472 1.0050
P 4.2413 3.5059 9.1964
O -1.4283 0.9264 9.1247
O -0.0813 4.1267 0.9333
O 0.1979 0.5211 5.0000
O -1.1491 4.5321 13.1914
O 1.1866 1.9178 1.1598
O -0.1605 3.1354 9.3512
O 0.6817 1.1931 7.8900
O -0.2371 1.7992 13.5057
O 1.1099 3.2539 5.3142
O -0.6653 3.8601 16.0814
O 0.7902 0.9954 10.3907
O 2.1372 4.0577 2.1992
O 3.2709 1.4865 3.7540
O 1.9239 3.5667 11.9454
O 3.0270 1.2640 6.2297
O 1.6799 3.7892 14.4211
O 4.1470 1.1358 0.7032
O 2.7999 3.9174 8.8946
O 2.7624 0.6290 13.0628
O 4.1095 4.4241 4.8714
O 4.1972 2.0113 9.6842
O 5.5443 3.0419 1.4928
O 5.3228 1.5668 5.3391
O 3.9757 3.4864 13.5305
O 3.8327 1.3702 16.1782
O 5.1798 3.6830 7.9868
O 6.2119 0.7446 2.2013
O 4.8648 4.3086 10.3927
O 6.1826 1.4133 12.0014
O 7.5297 3.6399 3.8100
O 5.9357 1.2379 14.4957
O 7.2828 3.8153 6.3042
```

=====

Structure and calculated powder X-ray diffraction pattern of LiV3Zn2O8 (a crystal structure in the Materials Project, relaxed with PBE+U; Cu Kα).
Intensities are scaled so that the largest is 100.

Principal peaks in the range 10° ≤ 2θ ≤ 80°, low angle first:
- 2θ = 18.2°, intensity 15.7
- 2θ = 21.0°, intensity 4.7
- 2θ = 29.9°, intensity 56.1
- 2θ = 35.3°, intensity 100.0
- 2θ = 42.8°, intensity 7.6
- 2θ = 53.1°, intensity 19.7
- 2θ = 56.7°, intensity 34.4
- 2θ = 62.2°, intensity 42.1
- 2θ = 70.5°, intensity 7.7
- 2θ = 73.5°, intensity 8.8

Crystal structure
```
14
Lattice="2.9868 1.7245 4.8682 -2.9868 1.7245 4.8682 0.0000 -3.4489 4.8682" Properties=species:S:1:pos:R:3 pbc="T T T"
Li 0.0000 0.0000 0.0000
V -2.9868 0.0000 7.3023
V -1.4934 0.8622 2.4341
V 1.4934 0.8622 2.4341
Zn 0.0000 0.0000 5.5416
Zn 0.0000 0.0000 9.0630
O -1.6037 -0.9259 8.3555
O 0.0000 0.0000 3.5426
O 0.0000 -1.8518 6.2491
O -1.6037 0.9259 6.2491
O 1.6037 -0.9259 8.3555
O 0.0000 1.8518 8.3555
O 0.0000 0.0000 11.0620
O 1.6037 0.9259 6.2491
```

=====

Structure and calculated powder X-ray diffraction pattern of MgMn6O7F5 (a crystal structure in the Materials Project, relaxed with PBE+U; Cu Kα).
Intensities are scaled so that the largest is 100.

Principal peaks in the range 10° ≤ 2θ ≤ 80°, low angle first:
- 2θ = 22.6°, intensity 100.0
- 2θ = 27.7°, intensity 75.2
- 2θ = 34.3°, intensity 52.8
- 2θ = 34.7°, intensity 17.7
- 2θ = 34.9°, intensity 18.8
- 2θ = 46.1°, intensity 18.3
- 2θ = 47.2°, intensity 19.2
- 2θ = 53.1°, intensity 19.0
- 2θ = 57.3°, intensity 15.5
- 2θ = 61.0°, intensity 20.1

Crystal structure
```
19
Lattice="5.2235 0.0000 0.0000 1.0084 5.7461 0.0000 0.9739 0.8804 7.7063" Properties=species:S:1:pos:R:3 pbc="T T T"
Mg 0.0000 0.0000 0.0000
Mn 0.7641 2.3053 1.4971
Mn 3.5230 1.5859 6.3222
Mn 3.6527 4.9536 1.3769
Mn 3.7553 3.4238 3.9479
Mn 6.4776 4.2937 6.2334
Mn 6.6462 6.0845 3.8899
O 2.7460 4.8769 3.1086
O 1.7887 0.7692 0.4730
O 2.8021 3.2920 5.6596
O 4.4715 3.4066 2.1481
O 4.4567 1.6981 4.6374
O 5.4612 5.7671 7.2058
O 5.6231 4.6429 4.6185
F 1.5739 3.8373 0.3472
F 2.6165 6.2351 5.8501
F 1.5919 1.8118 3.2703
F 5.6175 2.7563 7.3231
F 4.6365 0.4031 1.8736
```

=====

Structure and calculated powder X-ray diffraction pattern of Li6Ti3FeP6O24 (a crystal structure in the Materials Project, relaxed with PBE+U; Cu Kα).
Intensities are scaled so that the largest is 100.

Principal peaks in the range 10° ≤ 2θ ≤ 80°, low angle first:
- 2θ = 14.3°, intensity 25.3
- 2θ = 19.9°, intensity 26.4
- 2θ = 20.7°, intensity 41.6
- 2θ = 20.8°, intensity 18.8
- 2θ = 23.7°, intensity 100.0
- 2θ = 23.9°, intensity 49.3
- 2θ = 29.0°, intensity 20.5
- 2θ = 31.0°, intensity 22.3
- 2θ = 32.8°, intensity 17.0
- 2θ = 34.9°, intensity 31.2

Crystal structure
```
40
Lattice="8.5508 0.0000 0.0000 3.9700 7.6422 0.0000 3.9844 2.4366 7.2369" Properties=species:S:1:pos:R:3 pbc="T T T"
Li 0.0000 0.0000 0.0000
Li 6.2514 7.9798 3.7235
Li 4.7827 4.0285 3.1655
Li 6.5729 5.9329 1.1105
Li 10.7492 6.3278 5.9536
Li 10.5851 3.4308 4.8224
Ti 3.9636 4.4389 0.0939
Ti 8.7866 7.3826 2.1725
Ti 8.3297 1.9446 3.7436
Fe 13.1641 4.8542 5.8824
P 2.2577 1.8230 1.5216
P 9.1692 9.1399 5.0745
P 7.6266 5.1058 4.3799
P 6.5385 2.3446 0.8765
P 13.4020 8.1596 6.5762
P 11.9016 6.2530 2.9637
O 1.2346 1.5811 0.4177
O 4.2230 5.6504 1.8097
O 4.3191 2.7595 5.2131
O 3.2380 2.9794 1.2244
O 6.1442 4.7342 4.5201
O 6.9221 8.0838 1.7547
O 9.1451 8.3914 6.4554
O 8.5474 8.2921 3.9423
O 8.1554 5.9330 5.5896
O 7.6790 5.9407 3.0640
O 5.8709 3.7523 0.7164
O 6.6789 1.7846 4.7646
O 5.5140 1.2528 1.2175
O 8.5627 3.8724 4.2836
O 8.5664 6.3376 0.4834
O 7.5430 2.4511 2.0352
O 10.4518 6.5042 2.5300
O 11.1679 4.4219 6.7484
O 13.4956 9.1417 5.3657
O 12.7010 6.8458 6.2013
O 12.5692 7.5978 3.3424
O 11.8717 5.2133 4.1133
O 10.1883 2.1574 2.9205
O 14.8830 7.9531 6.9901
```

=====

Structure and calculated powder X-ray diffraction pattern of Ca2MoWO6 (a crystal structure in the Materials Project, relaxed with PBE+U; Cu Kα).
Intensities are scaled so that the largest is 100.

Principal peaks in the range 10° ≤ 2θ ≤ 80°, low angle first:
- 2θ = 19.2°, intensity 17.1
- 2θ = 22.1°, intensity 66.5
- 2θ = 22.3°, intensity 34.1
- 2θ = 31.3°, intensity 100.0
- 2θ = 31.5°, intensity 34.8
- 2θ = 31.8°, intensity 26.6
- 2θ = 31.9°, intensity 33.8
- 2θ = 44.9°, intensity 19.6
- 2θ = 45.1°, intensity 17.1
- 2θ = 45.5°, intensity 19.0

Crystal structure
```
10
Lattice="5.6057 0.0000 0.0000 2.7456 4.9123 0.0000 2.7986 1.6513 4.7010" Properties=species:S:1:pos:R:3 pbc="T T T"
Ca 2.8254 1.7455 1.1819
Ca 8.3245 4.8181 3.5191
Mo 0.0000 0.0000 0.0000
W 5.5749 3.2818 2.3505
O 3.8918 2.6007 3.1286
O 4.4969 4.6194 1.2449
O 5.7603 4.5924 3.8805
O 5.3895 1.9712 0.8204
O 6.6529 1.9442 3.4560
O 7.2581 3.9630 1.5724
```

=====

Structure and calculated powder X-ray diffraction pattern of Na4MnO4 (a crystal structure in the Materials Project, relaxed with PBE+U; Cu Kα).
Intensities are scaled so that the largest is 100.

Principal peaks in the range 10° ≤ 2θ ≤ 80°, low angle first:
- 2θ = 18.2°, intensity 100.0
- 2θ = 18.3°, intensity 78.8
- 2θ = 19.5°, intensity 52.1
- 2θ = 21.0°, intensity 71.3
- 2θ = 24.0°, intensity 57.9
- 2θ = 28.2°, intensity 53.8
- 2θ = 31.4°, intensity 67.0
- 2θ = 32.3°, intensity 57.9
- 2θ = 34.5°, intensity 61.0
- 2θ = 38.4°, intensity 54.0

Crystal structure
```
18
Lattice="6.3379 0.0000 0.0000 0.0000 5.7032 0.0000 -6.2869 0.0000 7.5878" Properties=species:S:1:pos:R:3 pbc="T T T"
Na 0.0000 0.6025 0.0000
Na -3.1435 5.1007 3.7939
Na -4.2825 2.1599 6.4520
Na -1.1391 3.5433 2.6582
Na -1.3417 1.7255 5.0390
Na 1.8018 3.9777 1.2451
Na 1.5208 1.7751 3.3331
Na -1.6226 3.9281 7.1270
Mn 3.5283 1.0400 1.2822
Mn 0.3849 4.6632 5.0761
O -2.4381 1.5607 3.0059
O -5.5816 4.1425 6.7998
O 1.7970 1.4740 1.0641
O -1.3464 4.2292 4.8580
O -2.0755 1.7130 7.2926
O 1.0680 3.9902 3.4987
O 0.7363 0.7221 5.2295
O 3.8798 4.9811 1.4356
```